Starting from DFT lattice parameters and positions (GGA-PBE), the X-ray diffraction stick pattern of NaUTl2I8 was computed for Cu Ka.
Intensities are scaled so that the largest is 100.

Atomic structure:
a b c (Å): 7.4722 8.0655 9.8278
angles (deg): 89.97 89.96 87.90
Fractional positions:
Na: 0.0000 0.0000 0.0000
U: 0.0000 0.0000 0.5000
Tl: 0.4997 0.5000 0.2319
Tl: 0.5003 0.5000 0.7681
I: 0.2051 0.6849 0.5003
I: 0.2343 0.1287 0.7133
I: 0.2347 0.1282 0.2864
I: 0.2532 0.6875 0.9999
I: 0.7468 0.3125 0.0001
I: 0.7653 0.8718 0.7136
I: 0.7657 0.8713 0.2867
I: 0.7949 0.3151 0.4997

The 12 most intense peaks (10° ≤ 2θ ≤ 90°), in order of falling intensity:
d 3.628, I 100.0, (1 -1 2)
d 2.816, I 92.4, (2 1 2)
d 5.581, I 80.7, (1 1 0)
d 2.357, I 77.5, (0 3 2)
d 4.105, I 61.2, (1 0 -2)
d 3.602, I 57.2, (1 2 0)
d 2.459, I 55.2, (0 0 4)
d 2.763, I 46.6, (-2 1 2)
d 5.380, I 41.6, (1 -1 0)
d 3.688, I 38.0, (1 1 2)
d 6.232, I 37.8, (0 1 1)
d 5.946, I 36.4, (1 0 1)